[1]
This entry pairs a crystal structure of Sr2GdTaCu2O8 with its theoretical XRD peak list. Radiation: λ = 1.5418 Å (Cu Kα). Structure: a cell relaxed with GGA-PBE.
No peak broadening, texture or thermal motion is included.

Most intense lines, 2θ = 5–70°, low angle first:
2θ (°)	I_rel
15.09	10
23.85	19
32.23	100
38.29	8
44.92	11
46.14	22
57.41	25
57.59	8
67.30	7
67.51	6

Atomic structure:
```
Sr2GdTaCu2O8
1.0
3.9351 0.0000 0.0000
0.0000 3.9351 0.0000
0.0000 0.0000 11.7393
Sr Gd Ta Cu O
2 1 1 2 8
Direct
0.0000 0.0000 0.2011 Sr
0.0000 0.0000 0.7989 Sr
0.0000 0.0000 0.5000 Gd
0.5000 0.5000 0.0000 Ta
0.5000 0.5000 0.3606 Cu
0.5000 0.5000 0.6394 Cu
0.0000 0.5000 0.0000 O
0.0000 0.5000 0.3736 O
0.0000 0.5000 0.6264 O
0.5000 0.0000 0.0000 O
0.5000 0.0000 0.3736 O
0.5000 0.0000 0.6264 O
0.5000 0.5000 0.1689 O
0.5000 0.5000 0.8311 O
```

[2]
This entry pairs a crystal structure of DyMn12 with its theoretical XRD peak list. Radiation: λ = 1.5418 Å (Cu Kα). Structure: a cell relaxed with GGA-PBE.
No peak broadening, texture or thermal motion is included.

Most intense lines, 2θ = 5–70°, low angle first:
2θ (°)	I_rel
30.76	49
34.27	15
37.82	44
38.32	18
43.76	59
43.91	100
44.35	75
49.78	20
63.72	12
64.06	13

Atomic structure:
```
DyMn12
1.0
-4.1376 4.1376 2.3487
4.1376 -4.1376 2.3487
4.1376 4.1376 -2.3487
Dy Mn
1 12
Direct
0.0000 0.0000 0.0000 Dy
0.0000 0.0000 0.5000 Mn
0.0000 0.3651 0.3651 Mn
0.0000 0.5000 0.0000 Mn
0.0000 0.6349 0.6349 Mn
0.2705 0.5000 0.7705 Mn
0.3651 0.0000 0.3651 Mn
0.5000 0.0000 0.0000 Mn
0.5000 0.2705 0.7705 Mn
0.5000 0.5000 0.5000 Mn
0.5000 0.7295 0.2295 Mn
0.6349 0.0000 0.6349 Mn
0.7295 0.5000 0.2295 Mn
```

[3]
This entry pairs a crystal structure of DyMn6Sn4Ge2 with its theoretical XRD peak list. Radiation: λ = 1.5418 Å (Cu Kα). Structure: a cell relaxed with GGA-PBE.
No peak broadening, texture or thermal motion is included.

Most intense lines, 2θ = 5–70°, low angle first:
2θ (°)	I_rel
33.34	100
36.46	80
38.69	42
39.39	80
41.45	21
44.12	45
46.01	33
59.59	20
61.64	36
63.66	20

Atomic structure:
```
DyMn6Sn4Ge2
1.0
5.3747 0.0000 0.0000
-2.6873 4.6546 0.0000
0.0000 0.0000 8.7136
Dy Mn Sn Ge
1 6 4 2
Direct
0.0000 0.0000 0.0000 Dy
0.0000 0.5000 0.2322 Mn
0.0000 0.5000 0.7678 Mn
0.5000 0.0000 0.2322 Mn
0.5000 0.0000 0.7678 Mn
0.5000 0.5000 0.2322 Mn
0.5000 0.5000 0.7678 Mn
0.0000 0.0000 0.3343 Sn
0.0000 0.0000 0.6657 Sn
0.3333 0.6667 0.5000 Sn
0.6667 0.3333 0.5000 Sn
0.3333 0.6667 0.0000 Ge
0.6667 0.3333 0.0000 Ge
```

[4]
This entry pairs a crystal structure of CaMn10N8 with its theoretical XRD peak list. Radiation: λ = 1.5418 Å (Cu Kα). Structure: a cell relaxed with GGA-PBE.
No peak broadening, texture or thermal motion is included.

Most intense lines, 2θ = 5–70°, low angle first:
2θ (°)	I_rel
13.10	36
34.04	24
36.09	100
38.73	34
40.02	13
45.17	12
46.24	17
47.52	40
61.06	14
66.51	12

Atomic structure:
```
CaMn10N8
1.0
8.0167 -1.9132 0.0000
8.0167 1.9132 0.0000
-3.3892 0.0000 6.7582
Ca Mn N
1 10 8
Direct
0.0000 0.0000 0.0000 Ca
0.0857 0.0857 0.6734 Mn
0.1796 0.1796 0.4178 Mn
0.2994 0.2994 0.2807 Mn
0.3171 0.3171 0.9336 Mn
0.4612 0.4612 0.6343 Mn
0.5388 0.5388 0.3657 Mn
0.6829 0.6829 0.0664 Mn
0.7006 0.7006 0.7193 Mn
0.8204 0.8204 0.5822 Mn
0.9143 0.9143 0.3266 Mn
0.0465 0.0465 0.3642 N
0.1693 0.1693 0.1374 N
0.3207 0.3207 0.5408 N
0.4018 0.4018 0.2139 N
0.5982 0.5982 0.7861 N
0.6793 0.6793 0.4592 N
0.8307 0.8307 0.8626 N
0.9535 0.9535 0.6358 N
```